1.
For CuCN2, a structure optimized by DFT (PBE) gives the calculated powder diffractogram in this record (λ = 1.5418 Å (Cu Kα)).
Peak positions follow from Bragg's law for the DFT cell and can differ from measured ones.

```
data_CuCN2
_symmetry_space_group_name_H-M 'C m c m'
_symmetry_Int_Tables_number 63
_symmetry_space_group_name_Hall '-C 2c 2'
_cell_length_a 2.981
_cell_length_b 6.640
_cell_length_c 9.448
_cell_angle_alpha 90.00
_cell_angle_beta 90.00
_cell_angle_gamma 90.00
loop_
_atom_site_label
_atom_site_type_symbol
_atom_site_fract_x
_atom_site_fract_y
_atom_site_fract_z
_atom_site_occupancy
Cu1 Cu 0.000 0.000 0.000 1
C1 C 0.000 0.401 0.250 1
N1 N 0.000 0.392 0.119 1
```

The 10 most intense peaks (2θ = 10–90°), low angle first:
hkl 0 0 2, d 4.724, 18.79 deg, intensity 81; hkl 0 2 0, d 3.320, 26.85 deg, intensity 62; hkl 0 2 1, d 3.132, 28.50 deg, intensity 15; hkl 0 2 2, d 2.717, 32.96 deg, intensity 68; hkl 1 1 2, d 2.358, 38.17 deg, intensity 100; hkl 0 2 4, d 1.925, 47.23 deg, intensity 18; hkl 1 1 4, d 1.783, 51.23 deg, intensity 40; hkl 1 3 0, d 1.777, 51.42 deg, intensity 21; hkl 1 3 2, d 1.663, 55.22 deg, intensity 22; hkl 1 1 6, d 1.363, 68.91 deg, intensity 15

---

2.
For Na2MgSiO4, a structure optimized by DFT (PBE) gives the calculated powder diffractogram in this record (λ = 1.5418 Å (Cu Kα)).
Peak positions follow from Bragg's law for the DFT cell and can differ from measured ones.

```
data_Na2MgSiO4
_symmetry_space_group_name_H-M 'P 1 c 1'
_symmetry_Int_Tables_number 7
_symmetry_space_group_name_Hall 'P -2yc'
_cell_length_a 5.336
_cell_length_b 5.571
_cell_length_c 8.824
_cell_angle_alpha 90.00
_cell_angle_beta 127.02
_cell_angle_gamma 90.00
loop_
_atom_site_label
_atom_site_type_symbol
_atom_site_fract_x
_atom_site_fract_y
_atom_site_fract_z
_atom_site_occupancy
Na1 Na 0.000 0.167 0.000 1
Na2 Na 0.748 0.317 0.245 1
Mg1 Mg 0.264 0.314 0.751 1
Si1 Si 0.515 0.187 0.498 1
O1 O 0.244 0.345 0.307 1
O2 O 0.410 0.099 0.967 1
O3 O 0.564 0.290 0.690 1
O4 O 0.851 0.213 0.528 1
```

The 10 most intense peaks (2θ = 10–90°), low angle first:
hkl 0 1 1, d 4.370, 20.32 deg, intensity 27; hkl 1 0 0, d 4.254, 20.88 deg, intensity 30; hkl 0 1 2, d 2.977, 30.01 deg, intensity 75; hkl 0 2 0, d 2.786, 32.13 deg, intensity 60; hkl 2 0 -2, d 2.668, 33.59 deg, intensity 85; hkl 1 1 1, d 2.600, 34.50 deg, intensity 100; hkl 0 0 4, d 1.761, 51.92 deg, intensity 24; hkl 0 3 2, d 1.643, 55.97 deg, intensity 39; hkl 3 1 -1, d 1.529, 60.57 deg, intensity 23; hkl 3 1 -5, d 1.525, 60.73 deg, intensity 22

---

3.
For LaSiPt3, a structure optimized by DFT (PBE) gives the calculated powder diffractogram in this record (λ = 1.5418 Å (Cu Kα)).
Peak positions follow from Bragg's law for the DFT cell and can differ from measured ones.

```
data_LaSiPt3
_symmetry_space_group_name_H-M 'P 4 m m'
_symmetry_Int_Tables_number 99
_symmetry_space_group_name_Hall 'P 4 -2'
_cell_length_a 4.156
_cell_length_b 4.156
_cell_length_c 5.525
_cell_angle_alpha 90.00
_cell_angle_beta 90.00
_cell_angle_gamma 90.00
loop_
_atom_site_label
_atom_site_type_symbol
_atom_site_fract_x
_atom_site_fract_y
_atom_site_fract_z
_atom_site_occupancy
La1 La 0.000 0.000 0.000 1
Si1 Si 0.500 0.500 0.293 1
Pt1 Pt 0.000 0.500 0.514 1
Pt2 Pt 0.500 0.500 0.871 1
```

The 10 most intense peaks (2θ = 10–90°), low angle first:
hkl 0 0 1, d 5.525, 16.04 deg, intensity 13; hkl 0 0 2, d 2.762, 32.41 deg, intensity 18; hkl 1 1 1, d 2.594, 34.57 deg, intensity 100; hkl 1 0 2, d 2.301, 39.16 deg, intensity 12; hkl 2 0 0, d 2.078, 43.56 deg, intensity 35; hkl 1 1 2, d 2.013, 45.04 deg, intensity 17; hkl 2 0 2, d 1.661, 55.32 deg, intensity 16; hkl 1 1 3, d 1.560, 59.21 deg, intensity 8; hkl 2 2 0, d 1.469, 63.29 deg, intensity 12; hkl 3 1 1, d 1.279, 74.17 deg, intensity 22

---

4.
For Lu2Mn17C3, a structure optimized by DFT (PBE) gives the calculated powder diffractogram in this record (λ = 1.5418 Å (Cu Kα)).
Peak positions follow from Bragg's law for the DFT cell and can differ from measured ones.

```
data_Lu2Mn17C3
_symmetry_space_group_name_H-M 'P 63/m m c'
_symmetry_Int_Tables_number 194
_symmetry_space_group_name_Hall '-P 6c 2c'
_cell_length_a 8.4609
_cell_length_b 8.4609
_cell_length_c 8.3030
_cell_angle_alpha 90.00
_cell_angle_beta 90.00
_cell_angle_gamma 120.00
loop_
_atom_site_label
_atom_site_type_symbol
_atom_site_fract_x
_atom_site_fract_y
_atom_site_fract_z
_atom_site_occupancy
Lu1 Lu 0.0000 0.0000 0.2500 1
Lu2 Lu 0.3333 0.6667 0.2500 1
Mn1 Mn 0.0000 0.5000 0.0000 1
Mn2 Mn 0.0589 0.3873 0.7500 1
Mn3 Mn 0.1708 0.3416 0.0246 1
Mn4 Mn 0.3333 0.6667 0.6076 1
C1 C 0.1639 0.3278 0.2500 1
```

The 10 most intense peaks (2θ = 10–90°), low angle first:
hkl 1 1 2, d 2.963, 30.16 deg, intensity 59; hkl 2 1 1, d 2.627, 34.13 deg, intensity 23; hkl 3 0 0, d 2.442, 36.80 deg, intensity 40; hkl 2 0 3, d 2.208, 40.86 deg, intensity 45; hkl 2 2 0, d 2.115, 42.75 deg, intensity 78; hkl 3 0 2, d 2.105, 42.96 deg, intensity 100; hkl 0 0 4, d 2.076, 43.60 deg, intensity 36; hkl 2 1 3, d 1.958, 46.38 deg, intensity 23; hkl 4 1 2, d 1.492, 62.22 deg, intensity 29; hkl 2 2 4, d 1.482, 62.71 deg, intensity 22

---

5.
For Th3S, a structure optimized by DFT (PBE) gives the calculated powder diffractogram in this record (λ = 1.5418 Å (Cu Kα)).
Peak positions follow from Bragg's law for the DFT cell and can differ from measured ones.

```
data_Th3S
_symmetry_space_group_name_H-M 'P m -3 m'
_symmetry_Int_Tables_number 221
_symmetry_space_group_name_Hall '-P 4 2 3'
_cell_length_a 4.742
_cell_length_b 4.742
_cell_length_c 4.742
_cell_angle_alpha 90.00
_cell_angle_beta 90.00
_cell_angle_gamma 90.00
loop_
_atom_site_label
_atom_site_type_symbol
_atom_site_fract_x
_atom_site_fract_y
_atom_site_fract_z
_atom_site_occupancy
Th1 Th 0.000 0.000 0.500 1
S1 S 0.500 0.500 0.500 1
```

The 10 most intense peaks (2θ = 10–90°), low angle first:
hkl 1 0 0, d 4.742, 18.71 deg, intensity 20; hkl 1 1 0, d 3.353, 26.58 deg, intensity 18; hkl 1 1 1, d 2.738, 32.71 deg, intensity 100; hkl 2 0 0, d 2.371, 37.95 deg, intensity 50; hkl 2 1 0, d 2.121, 42.63 deg, intensity 11; hkl 2 1 1, d 1.936, 46.93 deg, intensity 8; hkl 2 2 0, d 1.677, 54.75 deg, intensity 36; hkl 3 1 1, d 1.430, 65.26 deg, intensity 43; hkl 2 2 2, d 1.369, 68.55 deg, intensity 12; hkl 4 0 0, d 1.186, 81.13 deg, intensity 6

---

6.
For SmTlS2, a structure optimized by DFT (PBE) gives the calculated powder diffractogram in this record (λ = 1.5418 Å (Cu Kα)).
Peak positions follow from Bragg's law for the DFT cell and can differ from measured ones.

```
data_SmTlS2
_symmetry_space_group_name_H-M 'R -3 m'
_symmetry_Int_Tables_number 166
_symmetry_space_group_name_Hall '-R 3 2"'
_cell_length_a 4.1300
_cell_length_b 4.1300
_cell_length_c 22.5997
_cell_angle_alpha 90.00
_cell_angle_beta 90.00
_cell_angle_gamma 120.00
loop_
_atom_site_label
_atom_site_type_symbol
_atom_site_fract_x
_atom_site_fract_y
_atom_site_fract_z
_atom_site_occupancy
Sm1 Sm 0.0000 0.0000 0.0000 1
Tl1 Tl 0.0000 0.0000 0.5000 1
S1 S 0.0000 0.0000 0.2663 1
```

The 10 most intense peaks (2θ = 10–90°), low angle first:
hkl 0 0 6, d 3.767, 23.62 deg, intensity 29; hkl 0 1 2, d 3.410, 26.13 deg, intensity 63; hkl 1 0 4, d 3.022, 29.56 deg, intensity 100; hkl 0 1 8, d 2.217, 40.70 deg, intensity 39; hkl 1 1 0, d 2.065, 43.84 deg, intensity 35; hkl 1 0 10, d 1.911, 47.60 deg, intensity 16; hkl 1 1 6, d 1.811, 50.40 deg, intensity 24; hkl 0 2 4, d 1.705, 53.76 deg, intensity 18; hkl 1 1 12, d 1.392, 67.29 deg, intensity 16; hkl 2 1 4, d 1.314, 71.82 deg, intensity 21